This entry pairs a crystal structure of TbPmMg2 with its theoretical PXRD pattern. Radiation: λ = 1.5418 Å (Cu Kα). Structure: a crystal structure in Alexandria, relaxed with PBE.
Peak positions follow from Bragg's law for the DFT cell and can differ from measured ones.

Main lines, sorted by position (15 to 90 degrees two-theta):
hkl, two_theta, I_rel
1 1 0, 23.22, 61
2 0 0, 33.07, 100
2 0 1, 40.80, 19
0 0 2, 47.33, 6
2 2 0, 47.55, 12
1 1 2, 53.38, 9
3 1 0, 53.55, 17
2 0 2, 58.99, 13
3 1 1, 59.12, 25
2 2 2, 69.34, 8
3 1 2, 74.25, 7
4 2 0, 79.17, 11

```
TbPmMg2
1.0
5.4092 0.0000 0.0000
0.0000 5.4092 0.0000
0.0000 0.0000 3.8410
Tb Pm Mg
1 1 2
Direct
0.0000 0.0000 0.0000
0.5000 0.5000 0.0000
0.0000 0.5000 0.5000
0.5000 0.0000 0.5000
```